# 1
For Cs2ZnHg2, a structure optimized by DFT (PBE) gives the calculated powder diffractogram in this record (Cu Kα (weighted mean of Kα1 and Kα2)).
Peak positions follow from Bragg's law for the DFT cell and can differ from measured ones.

Peak list (10 most intense, 2θ = 5–70°, in order of rising 2θ)
- 2θ = 13.8°, rel. 18
- 2θ = 25.6°, rel. 17
- 2θ = 27.4°, rel. 100
- 2θ = 31.2°, rel. 24
- 2θ = 32.8°, rel. 20
- 2θ = 35.8°, rel. 17
- 2θ = 45.9°, rel. 16
- 2θ = 49.3°, rel. 11
- 2θ = 54.3°, rel. 12
- 2θ = 55.3°, rel. 14

Atomic structure:
a b c (Å): 9.055 9.055 5.460
angles (deg): 90.00 90.00 90.00
Fractional coordinates of all 10 atoms:
Cs 0.180 0.320 0.000
Cs 0.320 0.820 0.000
Cs 0.680 0.180 0.000
Cs 0.820 0.680 0.000
Zn 0.000 0.000 0.500
Zn 0.500 0.500 0.500
Hg 0.124 0.624 0.500
Hg 0.376 0.124 0.500
Hg 0.624 0.876 0.500
Hg 0.876 0.376 0.500

---

# 2
For Cs6Ho3I14, a structure optimized by DFT (PBE) gives the calculated powder diffractogram in this record (Cu Kα (weighted mean of Kα1 and Kα2)).
Peak positions follow from Bragg's law for the DFT cell and can differ from measured ones.

Peak list (10 most intense, 2θ = 5–70°, in order of rising 2θ)
- 2θ = 12.7°, rel. 55
- 2θ = 13.8°, rel. 45
- 2θ = 22.7°, rel. 93
- 2θ = 24.6°, rel. 46
- 2θ = 25.0°, rel. 100
- 2θ = 26.5°, rel. 52
- 2θ = 27.7°, rel. 60
- 2θ = 29.1°, rel. 65
- 2θ = 40.7°, rel. 48
- 2θ = 46.8°, rel. 44

Atomic structure:
a b c (Å): 13.992 13.992 7.591
angles (deg): 90.00 90.00 120.00
Fractional coordinates of all 23 atoms:
Cs 0.025 0.461 0.000
Cs 0.306 0.207 0.488
Cs 0.436 0.975 0.000
Cs 0.539 0.564 0.000
Cs 0.793 0.099 0.488
Cs 0.901 0.694 0.488
Ho 0.000 0.000 0.070
Ho 0.333 0.667 0.581
Ho 0.667 0.333 0.731
I 0.000 0.000 0.686
I 0.075 0.222 0.200
I 0.147 0.925 0.200
I 0.189 0.745 0.709
I 0.255 0.444 0.709
I 0.333 0.667 0.198
I 0.459 0.260 0.955
I 0.531 0.125 0.509
I 0.556 0.811 0.709
I 0.594 0.469 0.509
I 0.740 0.199 0.955
I 0.778 0.853 0.200
I 0.801 0.541 0.955
I 0.875 0.406 0.509

---

# 3
For Cs2HoI6, a structure optimized by DFT (PBE) gives the calculated powder diffractogram in this record (Cu Kα (weighted mean of Kα1 and Kα2)).
Peak positions follow from Bragg's law for the DFT cell and can differ from measured ones.

Peak list (10 most intense, 2θ = 5–70°, in order of rising 2θ)
- 2θ = 25.1°, rel. 26
- 2θ = 25.2°, rel. 26
- 2θ = 27.5°, rel. 100
- 2θ = 31.0°, rel. 37
- 2θ = 40.3°, rel. 19
- 2θ = 42.9°, rel. 35
- 2θ = 45.7°, rel. 24
- 2θ = 50.4°, rel. 26
- 2θ = 51.7°, rel. 17
- 2θ = 69.3°, rel. 18

Atomic structure:
a b c (Å): 8.425 8.425 14.190
angles (deg): 90.00 90.00 120.00
Fractional coordinates of all 18 atoms:
Cs 0.000 0.000 0.000
Cs 0.000 0.000 0.500
Cs 0.333 0.667 0.248
Cs 0.667 0.333 0.748
Ho 0.333 0.667 0.623
Ho 0.667 0.333 0.123
I 0.001 0.500 0.498
I 0.164 0.327 0.744
I 0.164 0.836 0.744
I 0.327 0.164 0.244
I 0.500 0.001 0.998
I 0.500 0.500 0.498
I 0.500 0.500 0.998
I 0.500 0.999 0.498
I 0.673 0.836 0.744
I 0.836 0.164 0.244
I 0.836 0.673 0.244
I 0.999 0.500 0.998

---

# 4
For CsHoIn2I6, a structure optimized by DFT (PBE) gives the calculated powder diffractogram in this record (Cu Kα (weighted mean of Kα1 and Kα2)).
Peak positions follow from Bragg's law for the DFT cell and can differ from measured ones.

Peak list (10 most intense, 2θ = 5–70°, in order of rising 2θ)
- 2θ = 12.4°, rel. 19
- 2θ = 14.0°, rel. 38
- 2θ = 19.3°, rel. 28
- 2θ = 23.5°, rel. 100
- 2θ = 28.2°, rel. 17
- 2θ = 30.9°, rel. 98
- 2θ = 35.1°, rel. 31
- 2θ = 35.8°, rel. 54
- 2θ = 40.6°, rel. 33
- 2θ = 48.0°, rel. 21

Atomic structure:
a b c (Å): 8.679 8.686 9.242
angles (deg): 90.01 118.00 119.94
Fractional coordinates of all 10 atoms:
Cs 0.000 0.000 0.000
Ho 0.973 0.486 0.459
In 0.593 0.296 0.889
In 0.623 0.812 0.434
I 0.105 0.446 0.213
I 0.112 0.264 0.671
I 0.407 0.847 0.671
I 0.555 0.110 0.213
I 0.767 0.658 0.212
I 0.824 0.560 0.671

---

# 5
For CsK2HoI6, a structure optimized by DFT (PBE) gives the calculated powder diffractogram in this record (Cu Kα (weighted mean of Kα1 and Kα2)).
Peak positions follow from Bragg's law for the DFT cell and can differ from measured ones.

Peak list (10 most intense, 2θ = 5–70°, in order of rising 2θ)
- 2θ = 12.2°, rel. 18
- 2θ = 13.8°, rel. 54
- 2θ = 19.1°, rel. 15
- 2θ = 23.1°, rel. 100
- 2θ = 27.9°, rel. 16
- 2θ = 30.6°, rel. 64
- 2θ = 34.6°, rel. 27
- 2θ = 35.2°, rel. 39
- 2θ = 40.2°, rel. 29
- 2θ = 47.3°, rel. 15

Atomic structure:
a b c (Å): 9.328 9.328 9.328
angles (deg): 56.49 56.49 56.49
Fractional coordinates of all 10 atoms:
Cs 0.000 0.000 0.000
K 0.289 0.289 0.289
K 0.804 0.804 0.804
Ho 0.486 0.486 0.486
I 0.126 0.669 0.423
I 0.261 0.575 0.836
I 0.423 0.126 0.669
I 0.575 0.836 0.261
I 0.669 0.423 0.126
I 0.836 0.261 0.575

---

# 6
For CsSr2HoI8, a structure optimized by DFT (PBE) gives the calculated powder diffractogram in this record (Cu Kα (weighted mean of Kα1 and Kα2)).
Peak positions follow from Bragg's law for the DFT cell and can differ from measured ones.

Peak list (10 most intense, 2θ = 5–70°, in order of rising 2θ)
- 2θ = 16.3°, rel. 50
- 2θ = 20.9°, rel. 36
- 2θ = 23.8°, rel. 75
- 2θ = 23.9°, rel. 100
- 2θ = 25.6°, rel. 59
- 2θ = 25.8°, rel. 39
- 2θ = 31.6°, rel. 65
- 2θ = 31.8°, rel. 74
- 2θ = 38.7°, rel. 43
- 2θ = 38.8°, rel. 40

Atomic structure:
a b c (Å): 7.490 7.811 10.303
angles (deg): 89.95 89.91 89.49
Fractional coordinates of all 12 atoms:
Cs 0.000 0.000 0.000
Sr 0.500 0.500 0.253
Sr 0.500 0.500 0.747
Ho 0.000 0.000 0.500
I 0.239 0.842 0.703
I 0.240 0.843 0.297
I 0.246 0.323 0.500
I 0.261 0.394 0.000
I 0.739 0.606 0.000
I 0.754 0.677 0.500
I 0.760 0.157 0.703
I 0.761 0.158 0.297

---

# 7
For CsLiHoSe2, a structure optimized by DFT (PBE) gives the calculated powder diffractogram in this record (Cu Kα (weighted mean of Kα1 and Kα2)).
Peak positions follow from Bragg's law for the DFT cell and can differ from measured ones.

Peak list (10 most intense, 2θ = 5–70°, in order of rising 2θ)
- 2θ = 13.8°, rel. 42
- 2θ = 18.0°, rel. 54
- 2θ = 25.4°, rel. 100
- 2θ = 27.2°, rel. 35
- 2θ = 30.2°, rel. 28
- 2θ = 36.8°, rel. 25
- 2θ = 37.4°, rel. 43
- 2θ = 43.2°, rel. 26
- 2θ = 43.7°, rel. 23
- 2θ = 45.3°, rel. 22

Atomic structure:
a b c (Å): 8.509 8.509 6.410
angles (deg): 90.00 90.00 129.52
Fractional coordinates of all 10 atoms:
Cs 0.250 0.750 0.775
Cs 0.750 0.250 0.225
Li 0.000 0.000 0.000
Li 0.500 0.500 0.000
Ho 0.250 0.250 0.500
Ho 0.750 0.750 0.500
Se 0.105 0.895 0.289
Se 0.395 0.605 0.289
Se 0.605 0.395 0.711
Se 0.895 0.105 0.711

---

# 8
For Cs2HoMg2S4, a structure optimized by DFT (PBE) gives the calculated powder diffractogram in this record (Cu Kα (weighted mean of Kα1 and Kα2)).
Peak positions follow from Bragg's law for the DFT cell and can differ from measured ones.

Peak list (10 most intense, 2θ = 5–70°, in order of rising 2θ)
- 2θ = 11.9°, rel. 34
- 2θ = 22.4°, rel. 82
- 2θ = 22.6°, rel. 53
- 2θ = 23.3°, rel. 43
- 2θ = 28.3°, rel. 45
- 2θ = 29.3°, rel. 53
- 2θ = 30.8°, rel. 100
- 2θ = 32.3°, rel. 52
- 2θ = 36.3°, rel. 39
- 2θ = 49.0°, rel. 35

Atomic structure:
a b c (Å): 8.055 8.055 8.200
angles (deg): 106.11 106.11 29.62
Fractional coordinates of all 9 atoms:
Cs 0.127 0.127 0.035
Cs 0.873 0.873 0.965
Ho 0.000 0.000 0.500
Mg 0.328 0.328 0.524
Mg 0.672 0.672 0.476
S 0.197 0.197 0.651
S 0.478 0.478 0.717
S 0.522 0.522 0.283
S 0.803 0.803 0.349